[1]
This entry pairs a crystal structure of PrVH with its simulated powder XRD pattern. Radiation: Cu Kα. Structure: a structure optimized by DFT (PBE).
Kinematic intensities with the Lorentz-polarization factor, no thermal factor.

Principal peaks in the range 10 to 90 degrees two-theta, sorted by position:
d/Å	Position (°2θ)	I/Imax
4.940	17.96	47
3.339	26.70	17
2.963	30.16	57
2.766	32.37	100
2.470	36.37	36
2.362	38.10	39
2.131	42.42	27
2.055	44.07	21
1.477	62.93	14
1.383	67.76	23

abc: 11.925 9.999 6.852
angles: 88.02 56.93 35.05
Positions (direct):
1 Pr 0.007 0.743 0.007
2 Pr 0.257 0.993 0.257
3 Pr 0.743 0.007 0.743
4 Pr 0.993 0.257 0.993
5 V 0.001 0.001 0.749
6 V 0.251 0.251 0.999
7 V 0.749 0.749 0.001
8 V 0.999 0.999 0.251
9 H 0.308 0.308 0.442
10 H 0.442 0.442 0.308
11 H 0.558 0.558 0.692
12 H 0.692 0.692 0.558

=====

[2]
This entry pairs a crystal structure of PrV2H8 with its simulated powder XRD pattern. Radiation: Cu Kα. Structure: a structure optimized by DFT (PBE).
Kinematic intensities with the Lorentz-polarization factor, no thermal factor.

Principal peaks in the range 10 to 90 degrees two-theta, sorted by position:
d/Å	Position (°2θ)	I/Imax
3.931	22.62	20
3.058	29.20	100
2.433	36.94	14
2.269	39.72	35
2.069	43.75	8
1.822	50.05	22
1.660	55.36	25
1.500	61.87	11
1.421	65.71	19
1.096	89.44	8

abc: 4.539 4.539 4.867
angles: 90.00 90.00 120.00
Positions (direct):
1 Pr 0.000 0.000 0.000
2 V 0.333 0.667 0.516
3 V 0.667 0.333 0.516
4 H 0.000 0.257 0.594
5 H 0.000 0.544 0.270
6 H 0.257 0.000 0.594
7 H 0.333 0.667 0.875
8 H 0.456 0.456 0.270
9 H 0.544 0.000 0.270
10 H 0.667 0.333 0.875
11 H 0.743 0.743 0.594

=====

[3]
This entry pairs a crystal structure of Pr4Y2H with its simulated powder XRD pattern. Radiation: Cu Kα. Structure: a structure optimized by DFT (PBE).
Kinematic intensities with the Lorentz-polarization factor, no thermal factor.

Principal peaks in the range 10 to 90 degrees two-theta, sorted by position:
d/Å	Position (°2θ)	I/Imax
8.839	10.01	18
3.289	27.11	66
2.946	30.34	30
2.765	32.38	100
2.506	35.83	49
1.909	47.64	34
1.772	51.58	17
1.582	58.33	23
1.492	62.23	30
1.180	81.58	17

abc: 9.523 9.523 9.523
angles: 149.48 149.48 43.70
Positions (direct):
1 Pr 0.000 0.500 0.500
2 Pr 0.153 0.153 0.000
3 Pr 0.500 0.000 0.500
4 Pr 0.847 0.847 0.000
5 Y 0.355 0.355 0.000
6 Y 0.645 0.645 0.000
7 H 0.000 0.000 0.000